Computed powder X-ray diffraction pattern of CePOs2C for Cu Kα X-rays, from DFT lattice parameters and positions (PBE).
Neutral-atom scattering factors, no anomalous dispersion.

Largest 8 diffraction maxima, low angle first, 15° ≤ 2θ ≤ 90°:
2θ = 29.89°, I = 34; 2θ = 33.40°, I = 100; 2θ = 34.67°, I = 30; 2θ = 35.19°, I = 77; 2θ = 41.51°, I = 34; 2θ = 45.64°, I = 31; 2θ = 46.70°, I = 31; 2θ = 62.08°, I = 27

Atomic structure:
Cell: 5.888 5.888 7.092 Å, 90.00 90.00 141.42°
Atoms (fractional coordinates):
Ce (0.047, 0.953, 0.750)
Ce (0.953, 0.047, 0.250)
P (0.229, 0.771, 0.250)
P (0.771, 0.229, 0.750)
Os (0.333, 0.667, 0.554)
Os (0.333, 0.667, 0.946)
Os (0.667, 0.333, 0.054)
Os (0.667, 0.333, 0.446)
C (0.500, 0.500, 0.000)
C (0.500, 0.500, 0.500)



Computed powder X-ray diffraction pattern of Ce2ReC2 for Cu Kα X-rays, from DFT lattice parameters and positions (PBE).
Neutral-atom scattering factors, no anomalous dispersion.

Largest 8 diffraction maxima, low angle first, 15° ≤ 2θ ≤ 90°:
2θ = 31.84°, I = 63; 2θ = 32.04°, I = 19; 2θ = 32.57°, I = 26; 2θ = 33.31°, I = 100; 2θ = 34.05°, I = 68; 2θ = 34.70°, I = 67; 2θ = 47.83°, I = 17; 2θ = 60.47°, I = 19

Atomic structure:
Cell: 6.591 5.267 9.970 Å, 90.00 90.00 90.00°
Atoms (fractional coordinates):
Ce (0.023, 0.250, 0.223)
Ce (0.192, 0.250, 0.546)
Ce (0.308, 0.750, 0.046)
Ce (0.477, 0.750, 0.723)
Ce (0.523, 0.250, 0.277)
Ce (0.692, 0.250, 0.954)
Ce (0.808, 0.750, 0.454)
Ce (0.977, 0.750, 0.777)
Re (0.229, 0.250, 0.862)
Re (0.271, 0.750, 0.362)
Re (0.729, 0.250, 0.638)
Re (0.771, 0.750, 0.138)
C (0.032, 0.750, 0.243)
C (0.175, 0.750, 0.551)
C (0.325, 0.250, 0.051)
C (0.468, 0.250, 0.743)
C (0.532, 0.750, 0.257)
C (0.675, 0.750, 0.949)
C (0.825, 0.250, 0.449)
C (0.968, 0.250, 0.757)



Computed powder X-ray diffraction pattern of Ce12Re5C15 for Cu Kα X-rays, from DFT lattice parameters and positions (PBE).
Neutral-atom scattering factors, no anomalous dispersion.

Largest 8 diffraction maxima, low angle first, 15° ≤ 2θ ≤ 90°:
2θ = 30.46°, I = 100; 2θ = 33.38°, I = 26; 2θ = 34.41°, I = 83; 2θ = 37.38°, I = 20; 2θ = 49.46°, I = 31; 2θ = 59.19°, I = 16; 2θ = 72.55°, I = 14; 2θ = 82.83°, I = 14

Atomic structure:
Cell: 10.845 10.845 5.214 Å, 90.00 90.00 120.00°
Atoms (fractional coordinates):
Ce (0.000, 0.427, 0.000)
Ce (0.000, 0.791, 0.000)
Ce (0.190, 0.727, 0.500)
Ce (0.209, 0.209, 0.000)
Ce (0.273, 0.463, 0.500)
Ce (0.427, 0.000, 0.000)
Ce (0.463, 0.273, 0.500)
Ce (0.537, 0.810, 0.500)
Ce (0.573, 0.573, 0.000)
Ce (0.727, 0.190, 0.500)
Ce (0.791, 0.000, 0.000)
Ce (0.810, 0.537, 0.500)
Re (0.000, 0.151, 0.500)
Re (0.151, 0.000, 0.500)
Re (0.333, 0.667, 0.000)
Re (0.667, 0.333, 0.000)
Re (0.849, 0.849, 0.500)
C (0.000, 0.329, 0.500)
C (0.000, 0.454, 0.500)
C (0.000, 0.785, 0.500)
C (0.185, 0.720, 0.000)
C (0.215, 0.215, 0.500)
C (0.280, 0.465, 0.000)
C (0.329, 0.000, 0.500)
C (0.454, 0.000, 0.500)
C (0.465, 0.280, 0.000)
C (0.535, 0.815, 0.000)
C (0.546, 0.546, 0.500)
C (0.671, 0.671, 0.500)
C (0.720, 0.185, 0.000)
C (0.785, 0.000, 0.500)
C (0.815, 0.535, 0.000)



Repeat the second record exactly.
Computed powder X-ray diffraction pattern of Ce2ReC2 for Cu Kα X-rays, from DFT lattice parameters and positions (PBE).
Neutral-atom scattering factors, no anomalous dispersion.

Largest 8 diffraction maxima, low angle first, 15° ≤ 2θ ≤ 90°:
2θ = 31.84°, I = 63; 2θ = 32.04°, I = 19; 2θ = 32.57°, I = 26; 2θ = 33.31°, I = 100; 2θ = 34.05°, I = 68; 2θ = 34.70°, I = 67; 2θ = 47.83°, I = 17; 2θ = 60.47°, I = 19

Atomic structure:
Cell: 6.591 5.267 9.970 Å, 90.00 90.00 90.00°
Atoms (fractional coordinates):
Ce (0.023, 0.250, 0.223)
Ce (0.192, 0.250, 0.546)
Ce (0.308, 0.750, 0.046)
Ce (0.477, 0.750, 0.723)
Ce (0.523, 0.250, 0.277)
Ce (0.692, 0.250, 0.954)
Ce (0.808, 0.750, 0.454)
Ce (0.977, 0.750, 0.777)
Re (0.229, 0.250, 0.862)
Re (0.271, 0.750, 0.362)
Re (0.729, 0.250, 0.638)
Re (0.771, 0.750, 0.138)
C (0.032, 0.750, 0.243)
C (0.175, 0.750, 0.551)
C (0.325, 0.250, 0.051)
C (0.468, 0.250, 0.743)
C (0.532, 0.750, 0.257)
C (0.675, 0.750, 0.949)
C (0.825, 0.250, 0.449)
C (0.968, 0.250, 0.757)